For BaUCoS5, a DFT-relaxed cell (GGA-PBE, Alexandria) gives the theoretical powder diffractogram in this record (CuKα).
Lines closer than 0.1° are merged.

Top 12 peaks for 2θ from 5° to 70°, in order of rising 2θ:
13.62 deg, rel. 47
20.20 deg, rel. 100
22.44 deg, rel. 58
25.51 deg, rel. 44
26.03 deg, rel. 63
27.92 deg, rel. 19
32.66 deg, rel. 23
37.75 deg, rel. 19
39.49 deg, rel. 40
41.66 deg, rel. 26
44.78 deg, rel. 32
53.13 deg, rel. 20

Structure:
Lattice parameters (Å, degrees): 7.1541 7.1541 9.6660 104.17 104.17 105.48
Sites, in units of the cell vectors:
1 Ba 0.1581 0.8419 0.7500
2 Ba 0.8419 0.1581 0.2500
3 U 0.5000 0.5000 0.0000
4 U 0.5000 0.5000 0.5000
5 Co 0.1883 0.8117 0.2500
6 Co 0.8117 0.1883 0.7500
7 S 0.1261 0.2685 0.9116
8 S 0.1936 0.6111 0.3962
9 S 0.2685 0.1261 0.4116
10 S 0.3889 0.8064 0.1038
11 S 0.4283 0.5717 0.7500
12 S 0.5717 0.4283 0.2500
13 S 0.6111 0.1936 0.8962
14 S 0.7315 0.8739 0.5884
15 S 0.8064 0.3889 0.6038
16 S 0.8739 0.7315 0.0884